1.
For Li9Co7O16, a cell relaxed with GGA+U gives the simulated X-ray powder pattern in this record (a wavelength of 1.5418 Å).
Neutral-atom scattering factors, no anomalous dispersion.

The 12 most intense peaks (2θ from 10° to 90°), in order of rising 2θ:
2theta, I (rel.)
18.5, 100
36.5, 40
38.2, 8
44.0, 54
44.3, 26
48.4, 9
58.0, 9
63.3, 7
64.0, 14
64.5, 14
64.8, 7
68.0, 9

Cell and atoms:
```
Li9Co7O16
1.0
10.0217 0.0000 0.0000
0.0000 2.8793 0.0000
-3.2316 0.0000 9.5841
Li Co O
9 7 16
direct
0.0000 0.0000 0.0000 Li
0.0018 0.5000 0.2445 Li
0.2467 0.0000 0.2454 Li
0.2510 0.0000 0.7508 Li
0.4999 0.5000 0.2511 Li
0.5001 0.5000 0.7489 Li
0.7490 0.0000 0.2492 Li
0.7533 0.0000 0.7546 Li
0.9982 0.5000 0.7555 Li
0.0000 0.0000 0.5000 Co
0.2453 0.5000 0.0000 Co
0.2512 0.5000 0.5011 Co
0.5000 0.0000 0.0000 Co
0.5000 0.0000 0.5000 Co
0.7488 0.5000 0.4989 Co
0.7547 0.5000 0.0000 Co
0.1178 0.5000 0.6157 O
0.1201 0.0000 0.3853 O
0.1400 0.5000 0.1143 O
0.1433 0.0000 0.8911 O
0.3671 0.0000 0.1030 O
0.3726 0.0000 0.6222 O
0.3767 0.5000 0.3795 O
0.3823 0.5000 0.8964 O
0.6177 0.5000 0.1036 O
0.6233 0.5000 0.6205 O
0.6274 0.0000 0.3778 O
0.6329 0.0000 0.8970 O
0.8567 0.0000 0.1089 O
0.8600 0.5000 0.8857 O
0.8799 0.0000 0.6147 O
0.8822 0.5000 0.3843 O
```

***

2.
For LiAlCrO3, a cell relaxed with GGA+U gives the simulated X-ray powder pattern in this record (a wavelength of 1.5418 Å).
Neutral-atom scattering factors, no anomalous dispersion.

The 12 most intense peaks (2θ from 10° to 90°), in order of rising 2θ:
2theta, I (rel.)
18.4, 25
19.1, 82
21.7, 66
30.9, 22
31.5, 100
35.7, 28
37.1, 45
37.3, 54
38.3, 27
49.5, 24
54.1, 24
54.4, 21

Cell and atoms:
```
LiAlCrO3
1.0
5.6847 0.0000 0.0000
2.7997 5.0657 0.0000
2.7622 1.5576 4.8431
Li Al Cr O
2 2 2 6
direct
0.2379 0.3466 0.3695 Li
0.7621 0.6534 0.6305 Li
0.0476 0.8507 0.8631 Al
0.9524 0.1493 0.1369 Al
0.4888 0.7496 0.2491 Cr
0.5112 0.2504 0.7509 Cr
0.0107 0.7815 0.2190 O
0.2460 0.1669 0.1559 O
0.3749 0.6712 0.6664 O
0.6251 0.3288 0.3336 O
0.7540 0.8331 0.8441 O
0.9893 0.2185 0.7810 O
```

***

3.
For Zr2Cr2F3, a cell relaxed with GGA+U gives the simulated X-ray powder pattern in this record (a wavelength of 1.5418 Å).
Neutral-atom scattering factors, no anomalous dispersion.

The 12 most intense peaks (2θ from 10° to 90°), in order of rising 2θ:
2theta, I (rel.)
16.0, 12
23.0, 23
24.4, 34
29.5, 37
33.0, 70
35.3, 100
36.5, 59
41.5, 23
49.2, 13
53.0, 17
60.4, 25
61.2, 14

Cell and atoms:
```
Zr2Cr2F3
1.0
4.0374 -5.4325 0.0000
4.0374 5.4325 0.0000
-1.4100 0.0000 5.5265
Zr Cr F
4 4 6
direct
0.0000 0.0000 0.0000 Zr
0.2317 0.7192 0.6616 Zr
0.5381 0.5381 0.9855 Zr
0.7192 0.2317 0.6616 Zr
0.2390 0.2390 0.5498 Cr
0.4590 0.9323 0.1593 Cr
0.8753 0.8753 0.4426 Cr
0.9323 0.4590 0.1593 Cr
0.0100 0.5162 0.8243 F
0.2916 0.2916 0.0678 F
0.4197 0.7300 0.3901 F
0.5162 0.0100 0.8243 F
0.7300 0.4197 0.3901 F
0.7316 0.7316 0.7863 F
```

***

4.
For LiTiFe5O8, a cell relaxed with GGA+U gives the simulated X-ray powder pattern in this record (a wavelength of 1.5418 Å).
Neutral-atom scattering factors, no anomalous dispersion.

The 12 most intense peaks (2θ from 10° to 90°), in order of rising 2θ:
2theta, I (rel.)
17.5, 11
28.6, 24
28.9, 18
33.5, 57
34.0, 100
40.5, 11
41.4, 19
54.6, 28
59.2, 21
59.3, 21
59.9, 11
60.0, 12

Cell and atoms:
```
LiTiFe5O8
1.0
6.1647 0.0000 0.0000
-0.0004 6.1770 0.0000
-3.0708 -3.0862 4.4560
Li Ti Fe O
1 1 5 8
direct
0.0000 0.0000 0.0000 Li
0.8392 0.1241 0.6567 Ti
0.2608 0.2708 0.4990 Fe
0.3470 0.6241 0.2021 Fe
0.4731 0.0039 0.9334 Fe
0.8269 0.5661 0.6340 Fe
0.8712 0.6231 0.2007 Fe
0.0853 0.3570 0.7078 O
0.0852 0.8834 0.7035 O
0.0885 0.3489 0.1601 O
0.1088 0.8510 0.2011 O
0.5980 0.3857 0.1796 O
0.6204 0.9038 0.2238 O
0.6294 0.8829 0.7021 O
0.6441 0.3585 0.7091 O
```

***

5.
For KNa2CrF6, a cell relaxed with GGA+U gives the simulated X-ray powder pattern in this record (a wavelength of 1.5418 Å).
Neutral-atom scattering factors, no anomalous dispersion.

The 12 most intense peaks (2θ from 10° to 90°), in order of rising 2θ:
2theta, I (rel.)
17.5, 25
20.3, 86
28.8, 100
35.5, 13
41.2, 92
46.4, 23
51.1, 31
54.5, 10
59.7, 47
67.7, 20
75.2, 13
82.4, 19

Cell and atoms:
```
KNa2CrF6
1.0
0.0000 4.3780 4.3780
4.3780 0.0000 4.3780
4.3780 4.3780 0.0000
K Na Cr F
1 2 1 6
direct
0.0000 0.0000 0.0000 K
0.2500 0.2500 0.2500 Na
0.7500 0.7500 0.7500 Na
0.5000 0.5000 0.5000 Cr
0.2805 0.2805 0.7195 F
0.2805 0.7195 0.2805 F
0.2805 0.7195 0.7195 F
0.7195 0.2805 0.2805 F
0.7195 0.2805 0.7195 F
0.7195 0.7195 0.2805 F
```

***

6.
For MgV2O4, a cell relaxed with GGA+U gives the simulated X-ray powder pattern in this record (a wavelength of 1.5418 Å).
Neutral-atom scattering factors, no anomalous dispersion.

The 12 most intense peaks (2θ from 10° to 90°), in order of rising 2θ:
2theta, I (rel.)
17.9, 32
29.5, 30
34.7, 100
34.8, 14
42.2, 27
42.3, 13
52.3, 8
55.7, 16
55.8, 27
61.2, 52
61.3, 10
87.5, 9

Cell and atoms:
```
MgV2O4
1.0
6.0452 0.0000 0.0000
3.0201 5.2484 0.0000
3.0100 1.7275 9.8882
Mg V O
4 8 16
direct
0.0000 0.0000 0.0000 Mg
0.0633 0.5610 0.3123 Mg
0.5001 0.4997 0.5001 Mg
0.5628 0.0613 0.8124 Mg
0.0635 0.0533 0.3120 V
0.0704 0.5543 0.8119 V
0.1328 0.1122 0.6221 V
0.3171 0.3052 0.0595 V
0.5636 0.5538 0.8119 V
0.5710 0.0535 0.3118 V
0.6330 0.6113 0.1224 V
0.8183 0.8043 0.5596 V
0.1612 0.7044 0.4354 O
0.1965 0.1823 0.4250 O
0.1996 0.2035 0.9352 O
0.2010 0.6627 0.9305 O
0.4335 0.4160 0.1886 O
0.4332 0.9410 0.1921 O
0.4335 0.4332 0.7008 O
0.4629 0.9132 0.6895 O
0.6610 0.2066 0.9349 O
0.6965 0.6811 0.9255 O
0.6988 0.7044 0.4354 O
0.7036 0.1625 0.4302 O
0.9323 0.9167 0.6886 O
0.9330 0.9327 0.2008 O
0.9358 0.4414 0.6917 O
0.9626 0.4154 0.1882 O
```

***

7.
For ZnNi2O4, a cell relaxed with GGA+U gives the simulated X-ray powder pattern in this record (a wavelength of 1.5418 Å).
Neutral-atom scattering factors, no anomalous dispersion.

The 12 most intense peaks (2θ from 10° to 90°), in order of rising 2θ:
2theta, I (rel.)
18.5, 25
30.5, 45
35.5, 71
35.6, 100
35.7, 24
36.2, 93
37.4, 25
57.0, 23
57.2, 23
58.4, 28
62.5, 21
63.4, 59

Cell and atoms:
```
ZnNi2O4
1.0
5.8665 0.0000 0.0000
2.8640 5.1280 0.0000
0.2096 0.2120 14.3808
Zn Ni O
6 12 24
direct
0.0000 0.0000 0.0000 Zn
0.0025 0.9997 0.6203 Zn
0.0091 0.9953 0.2455 Zn
0.3184 0.3500 0.3308 Zn
0.6583 0.6764 0.6658 Zn
0.6624 0.6660 0.9098 Zn
0.0011 0.4965 0.1228 Ni
0.1640 0.1679 0.7883 Ni
0.1645 0.6663 0.7894 Ni
0.3307 0.3312 0.9568 Ni
0.3341 0.8385 0.4534 Ni
0.3418 0.3220 0.5763 Ni
0.5032 0.4963 0.1214 Ni
0.5026 0.9980 0.1216 Ni
0.6632 0.6757 0.2872 Ni
0.6650 0.1671 0.7882 Ni
0.8295 0.8377 0.4534 Ni
0.8308 0.3359 0.4542 Ni
0.0051 0.0120 0.8630 O
0.0197 0.9939 0.3832 O
0.0320 0.4799 0.8651 O
0.1640 0.1960 0.0487 O
0.1688 0.6865 0.5259 O
0.1759 0.1359 0.5286 O
0.1892 0.6341 0.0474 O
0.3013 0.8522 0.7163 O
0.3246 0.3212 0.7112 O
0.3529 0.3242 0.1939 O
0.3756 0.8276 0.2029 O
0.4786 0.0332 0.8646 O
0.4810 0.4812 0.8614 O
0.4965 0.5453 0.3736 O
0.5013 0.9842 0.3790 O
0.6352 0.1632 0.0417 O
0.6472 0.6781 0.5268 O
0.6517 0.6715 0.0487 O
0.6947 0.1330 0.5309 O
0.8138 0.3598 0.1975 O
0.8361 0.7977 0.1999 O
0.8448 0.3111 0.7126 O
0.8479 0.8463 0.7176 O
0.9504 0.5441 0.3719 O
```

***

8.
For AlFe3O, a cell relaxed with GGA+U gives the simulated X-ray powder pattern in this record (a wavelength of 1.5418 Å).
Neutral-atom scattering factors, no anomalous dispersion.

The 11 most intense peaks (2θ from 10° to 90°), in order of rising 2θ:
2theta, I (rel.)
21.6, 23
30.7, 2
37.9, 100
44.0, 65
49.5, 8
54.7, 1
64.0, 38
68.4, 3
76.9, 33
81.0, 12
85.0, 1

Cell and atoms:
```
AlFe3O
1.0
4.1136 0.0000 0.0000
0.0000 4.1136 0.0000
0.0000 0.0000 4.1136
Al Fe O
1 3 1
direct
0.0000 0.0000 0.0000 Al
0.0000 0.5000 0.5000 Fe
0.5000 0.0000 0.5000 Fe
0.5000 0.5000 0.0000 Fe
0.5000 0.5000 0.5000 O
```

***

Q: Number 2 is which compound?
A: LiAlCrO3

***

Repeat the seventh record exactly.
For ZnNi2O4, a cell relaxed with GGA+U gives the simulated X-ray powder pattern in this record (a wavelength of 1.5418 Å).
Neutral-atom scattering factors, no anomalous dispersion.

The 12 most intense peaks (2θ from 10° to 90°), in order of rising 2θ:
2theta, I (rel.)
18.5, 25
30.5, 45
35.5, 71
35.6, 100
35.7, 24
36.2, 93
37.4, 25
57.0, 23
57.2, 23
58.4, 28
62.5, 21
63.4, 59

Cell and atoms:
```
ZnNi2O4
1.0
5.8665 0.0000 0.0000
2.8640 5.1280 0.0000
0.2096 0.2120 14.3808
Zn Ni O
6 12 24
direct
0.0000 0.0000 0.0000 Zn
0.0025 0.9997 0.6203 Zn
0.0091 0.9953 0.2455 Zn
0.3184 0.3500 0.3308 Zn
0.6583 0.6764 0.6658 Zn
0.6624 0.6660 0.9098 Zn
0.0011 0.4965 0.1228 Ni
0.1640 0.1679 0.7883 Ni
0.1645 0.6663 0.7894 Ni
0.3307 0.3312 0.9568 Ni
0.3341 0.8385 0.4534 Ni
0.3418 0.3220 0.5763 Ni
0.5032 0.4963 0.1214 Ni
0.5026 0.9980 0.1216 Ni
0.6632 0.6757 0.2872 Ni
0.6650 0.1671 0.7882 Ni
0.8295 0.8377 0.4534 Ni
0.8308 0.3359 0.4542 Ni
0.0051 0.0120 0.8630 O
0.0197 0.9939 0.3832 O
0.0320 0.4799 0.8651 O
0.1640 0.1960 0.0487 O
0.1688 0.6865 0.5259 O
0.1759 0.1359 0.5286 O
0.1892 0.6341 0.0474 O
0.3013 0.8522 0.7163 O
0.3246 0.3212 0.7112 O
0.3529 0.3242 0.1939 O
0.3756 0.8276 0.2029 O
0.4786 0.0332 0.8646 O
0.4810 0.4812 0.8614 O
0.4965 0.5453 0.3736 O
0.5013 0.9842 0.3790 O
0.6352 0.1632 0.0417 O
0.6472 0.6781 0.5268 O
0.6517 0.6715 0.0487 O
0.6947 0.1330 0.5309 O
0.8138 0.3598 0.1975 O
0.8361 0.7977 0.1999 O
0.8448 0.3111 0.7126 O
0.8479 0.8463 0.7176 O
0.9504 0.5441 0.3719 O
```

***

Repeat the first record exactly.
For Li9Co7O16, a cell relaxed with GGA+U gives the simulated X-ray powder pattern in this record (a wavelength of 1.5418 Å).
Neutral-atom scattering factors, no anomalous dispersion.

The 12 most intense peaks (2θ from 10° to 90°), in order of rising 2θ:
2theta, I (rel.)
18.5, 100
36.5, 40
38.2, 8
44.0, 54
44.3, 26
48.4, 9
58.0, 9
63.3, 7
64.0, 14
64.5, 14
64.8, 7
68.0, 9

Cell and atoms:
```
Li9Co7O16
1.0
10.0217 0.0000 0.0000
0.0000 2.8793 0.0000
-3.2316 0.0000 9.5841
Li Co O
9 7 16
direct
0.0000 0.0000 0.0000 Li
0.0018 0.5000 0.2445 Li
0.2467 0.0000 0.2454 Li
0.2510 0.0000 0.7508 Li
0.4999 0.5000 0.2511 Li
0.5001 0.5000 0.7489 Li
0.7490 0.0000 0.2492 Li
0.7533 0.0000 0.7546 Li
0.9982 0.5000 0.7555 Li
0.0000 0.0000 0.5000 Co
0.2453 0.5000 0.0000 Co
0.2512 0.5000 0.5011 Co
0.5000 0.0000 0.0000 Co
0.5000 0.0000 0.5000 Co
0.7488 0.5000 0.4989 Co
0.7547 0.5000 0.0000 Co
0.1178 0.5000 0.6157 O
0.1201 0.0000 0.3853 O
0.1400 0.5000 0.1143 O
0.1433 0.0000 0.8911 O
0.3671 0.0000 0.1030 O
0.3726 0.0000 0.6222 O
0.3767 0.5000 0.3795 O
0.3823 0.5000 0.8964 O
0.6177 0.5000 0.1036 O
0.6233 0.5000 0.6205 O
0.6274 0.0000 0.3778 O
0.6329 0.0000 0.8970 O
0.8567 0.0000 0.1089 O
0.8600 0.5000 0.8857 O
0.8799 0.0000 0.6147 O
0.8822 0.5000 0.3843 O
```

***

Please write out number 2 again, unchanged.
For LiAlCrO3, a cell relaxed with GGA+U gives the simulated X-ray powder pattern in this record (a wavelength of 1.5418 Å).
Neutral-atom scattering factors, no anomalous dispersion.

The 12 most intense peaks (2θ from 10° to 90°), in order of rising 2θ:
2theta, I (rel.)
18.4, 25
19.1, 82
21.7, 66
30.9, 22
31.5, 100
35.7, 28
37.1, 45
37.3, 54
38.3, 27
49.5, 24
54.1, 24
54.4, 21

Cell and atoms:
```
LiAlCrO3
1.0
5.6847 0.0000 0.0000
2.7997 5.0657 0.0000
2.7622 1.5576 4.8431
Li Al Cr O
2 2 2 6
direct
0.2379 0.3466 0.3695 Li
0.7621 0.6534 0.6305 Li
0.0476 0.8507 0.8631 Al
0.9524 0.1493 0.1369 Al
0.4888 0.7496 0.2491 Cr
0.5112 0.2504 0.7509 Cr
0.0107 0.7815 0.2190 O
0.2460 0.1669 0.1559 O
0.3749 0.6712 0.6664 O
0.6251 0.3288 0.3336 O
0.7540 0.8331 0.8441 O
0.9893 0.2185 0.7810 O
```